# 1
Starting from a crystal structure in Alexandria, relaxed with GGA-PBE, the X-ray diffraction stick pattern of Pr3PtO was computed for Cu Kα, 1.54184 Å.
Intensities are scaled so that the largest is 100.

Structural model:
```
Pr3PtO
1.0
6.831 -5.474 0.000
6.831 5.474 0.000
-1.296 0.000 6.846
Pr Pt O
12 4 4
Cartesian
0.828 0.910 3.094
5.335 2.837 0.301
0.180 -0.910 6.517
4.406 0.924 4.140
7.679 2.837 3.122
5.054 -0.924 0.717
7.312 0.924 6.129
4.687 -2.837 3.724
7.960 -0.924 2.706
12.186 0.910 0.329
7.031 -2.837 6.545
11.538 -0.910 3.752
3.235 1.344 1.581
2.587 -1.344 5.004
9.779 1.344 1.842
9.131 -1.344 5.265
6.507 4.559 1.711
5.859 2.736 5.134
6.507 -2.736 1.711
5.859 -4.559 5.134
```

Largest 10 diffraction maxima, low angle first, 2θ = 10–90°:
| two_theta | I_rel |
| --- | --- |
| 20.8 | 36 |
| 23.3 | 52 |
| 26.0 | 45 |
| 27.9 | 100 |
| 31.5 | 94 |
| 31.9 | 45 |
| 32.8 | 57 |
| 33.7 | 78 |
| 35.8 | 91 |
| 46.3 | 40 |

---

# 2
Starting from a crystal structure in Alexandria, relaxed with GGA-PBE, the X-ray diffraction stick pattern of Rb4Pr3PtO8 was computed for Cu Kα, 1.54184 Å.
Intensities are scaled so that the largest is 100.

Structural model:
```
Rb4Pr3PtO8
1.0
6.596 -3.510 0.000
6.596 3.510 0.000
-3.542 0.000 6.703
Rb Pr Pt O
4 3 1 8
Cartesian
0.000 0.000 0.000
3.298 1.755 0.000
3.298 -1.755 0.000
6.596 0.000 0.000
-1.771 0.000 3.352
1.527 1.755 3.352
1.527 -1.755 3.352
4.826 0.000 3.352
0.353 0.000 4.557
1.862 0.000 1.809
3.858 1.499 4.386
5.793 1.499 2.318
3.858 -1.499 4.386
5.793 -1.499 2.318
7.790 0.000 4.895
9.298 0.000 2.146
```

Largest 10 diffraction maxima, low angle first, 2θ = 10–90°:
| two_theta | I_rel |
| --- | --- |
| 13.2 | 34 |
| 26.6 | 48 |
| 29.7 | 100 |
| 30.7 | 47 |
| 35.0 | 68 |
| 45.1 | 29 |
| 49.2 | 25 |
| 53.9 | 15 |
| 56.0 | 14 |
| 61.7 | 12 |

---

# 3
Starting from a crystal structure in Alexandria, relaxed with GGA-PBE, the X-ray diffraction stick pattern of Rb3Pr3PtO8 was computed for Cu Kα, 1.54184 Å.
Intensities are scaled so that the largest is 100.

Structural model:
```
Rb3Pr3PtO8
1.0
3.573 2.063 6.612
-3.573 2.063 6.612
0.000 -4.126 6.612
Rb Pr Pt O
3 3 1 8
Cartesian
-1.786 -1.031 6.612
-1.786 1.031 13.225
0.000 2.063 6.612
-3.573 0.000 9.918
-1.786 1.031 3.306
1.786 1.031 3.306
0.000 0.000 9.918
0.000 0.000 4.500
-1.594 -0.920 11.026
0.000 -1.841 8.811
-1.594 0.920 8.811
1.594 -0.920 11.026
0.000 1.841 11.026
1.594 0.920 8.811
0.000 0.000 15.337
```

Largest 10 diffraction maxima, low angle first, 2θ = 10–90°:
| two_theta | I_rel |
| --- | --- |
| 13.4 | 60 |
| 15.0 | 18 |
| 27.0 | 41 |
| 29.2 | 17 |
| 30.3 | 81 |
| 34.2 | 100 |
| 47.0 | 35 |
| 51.1 | 32 |
| 55.0 | 21 |
| 58.7 | 30 |

---

# 4
Starting from a crystal structure in Alexandria, relaxed with GGA-PBE, the X-ray diffraction stick pattern of SrPr2PtO6 was computed for Cu Kα, 1.54184 Å.
Intensities are scaled so that the largest is 100.

Structural model:
```
SrPr2PtO6
1.0
5.747 0.000 0.000
0.000 6.158 0.000
-5.740 0.000 8.364
Sr Pr Pt O
2 4 2 12
Cartesian
0.000 0.000 0.000
-2.870 3.079 4.182
-2.980 0.352 6.188
-0.110 2.727 2.006
0.117 3.431 6.357
2.987 5.806 2.175
0.004 0.000 4.182
2.874 3.079 0.000
-1.704 1.051 3.781
-4.574 2.027 7.963
-0.945 4.450 3.473
-3.815 4.786 7.655
0.765 0.459 2.318
-2.105 2.619 6.500
2.112 3.538 1.864
-0.758 5.698 6.045
3.822 1.371 0.709
0.952 1.708 4.891
4.581 4.130 0.401
1.711 5.106 4.583
```

Largest 10 diffraction maxima, low angle first, 2θ = 10–90°:
| two_theta | I_rel |
| --- | --- |
| 17.9 | 12 |
| 29.0 | 22 |
| 30.2 | 100 |
| 31.1 | 22 |
| 43.1 | 19 |
| 43.3 | 12 |
| 52.1 | 14 |
| 54.3 | 11 |
| 54.8 | 13 |
| 54.8 | 11 |

---

# 5
Starting from a crystal structure in Alexandria, relaxed with GGA-PBE, the X-ray diffraction stick pattern of Sr2Pr2PtO6 was computed for Cu Kα, 1.54184 Å.
Intensities are scaled so that the largest is 100.

Structural model:
```
Sr2Pr2PtO6
1.0
3.015 1.741 5.984
-3.015 1.741 5.984
0.000 -3.481 5.984
Sr Pr Pt O
2 2 1 6
Cartesian
0.000 0.000 2.952
0.000 0.000 14.999
0.000 0.000 6.429
0.000 0.000 11.522
0.000 0.000 0.000
-1.167 -1.865 7.297
-2.199 0.078 10.654
-1.032 1.943 7.297
1.032 -1.943 10.654
2.199 -0.078 7.297
1.167 1.865 10.654
```

Largest 10 diffraction maxima, low angle first, 2θ = 10–90°:
| two_theta | I_rel |
| --- | --- |
| 14.8 | 39 |
| 29.6 | 100 |
| 29.9 | 17 |
| 30.2 | 29 |
| 33.3 | 30 |
| 42.6 | 69 |
| 52.6 | 29 |
| 61.5 | 13 |
| 61.6 | 15 |
| 69.9 | 15 |

---

# 6
Starting from a crystal structure in Alexandria, relaxed with GGA-PBE, the X-ray diffraction stick pattern of PrPuSc2O8 was computed for Cu Kα, 1.54184 Å.
Intensities are scaled so that the largest is 100.

Structural model:
```
PrPuSc2O8
1.0
3.446 -3.570 0.000
3.446 3.570 0.000
0.000 0.000 6.984
Pr Pu Sc O
1 1 2 8
Cartesian
0.000 0.000 0.000
0.000 0.000 3.492
3.446 0.000 1.589
3.446 0.000 5.395
1.382 0.000 1.968
1.382 0.000 5.015
3.446 1.614 3.492
3.446 1.249 0.000
3.446 -1.249 0.000
3.446 -1.614 3.492
5.510 0.000 1.968
5.510 0.000 5.015
```

Largest 10 diffraction maxima, low angle first, 2θ = 10–90°:
| two_theta | I_rel |
| --- | --- |
| 17.9 | 85 |
| 24.9 | 59 |
| 25.5 | 20 |
| 25.9 | 53 |
| 31.3 | 100 |
| 36.2 | 25 |
| 36.6 | 30 |
| 48.1 | 40 |
| 49.2 | 38 |
| 62.1 | 23 |

---

# 7
Starting from a crystal structure in Alexandria, relaxed with GGA-PBE, the X-ray diffraction stick pattern of PrPu2SeO4 was computed for Cu Kα, 1.54184 Å.
Intensities are scaled so that the largest is 100.

Structural model:
```
PrPu2SeO4
1.0
3.924 0.000 0.000
0.000 3.924 0.000
0.000 0.000 8.937
Pr Pu Se O
1 2 1 4
Cartesian
0.000 0.000 0.000
1.962 1.962 2.568
1.962 1.962 6.369
0.000 0.000 4.469
0.000 1.962 1.502
0.000 1.962 7.435
1.962 0.000 1.502
1.962 0.000 7.435
```

Largest 10 diffraction maxima, low angle first, 2θ = 10–90°:
| two_theta | I_rel |
| --- | --- |
| 22.7 | 15 |
| 24.8 | 12 |
| 30.3 | 100 |
| 32.3 | 40 |
| 44.6 | 16 |
| 46.3 | 22 |
| 52.6 | 15 |
| 56.3 | 36 |
| 56.6 | 11 |
| 76.0 | 9 |